No. 1
# UCl2O2
Simulated X-ray powder pattern, Cu Kα. Input: the GGA-PBE geometry in the Materials Project.
Peak positions follow from Bragg's law for the DFT cell and can differ from measured ones.

Structure:
```
UCl2O2
1.0
6.0944 0.0000 0.0000
0.0000 8.4946 0.0000
0.0000 0.0000 8.7477
U Cl O
4 8 8
Direct
0.0683 0.2500 0.0708
0.4317 0.7500 0.5708
0.5683 0.2500 0.4292
0.9317 0.7500 0.9292
0.1789 0.5578 0.1200
0.1789 0.9422 0.1200
0.3211 0.0578 0.6200
0.3211 0.4422 0.6200
0.6789 0.5578 0.3800
0.6789 0.9422 0.3800
0.8211 0.0578 0.8800
0.8211 0.4422 0.8800
0.1471 0.7500 0.7796
0.2197 0.7500 0.4316
0.2803 0.2500 0.9316
0.3529 0.2500 0.2796
0.6471 0.7500 0.7204
0.7197 0.7500 0.0684
0.7803 0.2500 0.5684
0.8529 0.2500 0.2204
```

Main lines, in order of rising 2θ (2θ from 10° to 90°):
2θ (°), d [Å], I/Imax
14.54, 6.094, 28
17.74, 5.001, 100
20.30, 4.374, 17
20.61, 4.309, 21
20.92, 4.247, 33
25.06, 3.553, 15
27.20, 3.278, 40
27.55, 3.237, 45
32.46, 2.758, 15
36.47, 2.464, 15
40.75, 2.214, 21
45.33, 2.001, 17

No. 2
# Y3Cl2O6
Simulated X-ray powder pattern, Cu Kα. Input: the GGA-PBE geometry in the Materials Project.
Peak positions follow from Bragg's law for the DFT cell and can differ from measured ones.

Structure:
```
Y3Cl2O6
1.0
3.9438 0.0000 0.0000
0.0000 13.7784 0.0000
0.0000 0.0000 7.5364
Y Cl O
6 4 12
Direct
0.2500 0.1034 0.0838
0.2500 0.3966 0.0838
0.2500 0.7500 0.5947
0.7500 0.2500 0.4053
0.7500 0.6034 0.9162
0.7500 0.8966 0.9162
0.2500 0.1325 0.5782
0.2500 0.3675 0.5782
0.7500 0.6325 0.4218
0.7500 0.8675 0.4218
0.2500 0.2500 0.2333
0.2500 0.2500 0.9375
0.2500 0.5693 0.0551
0.2500 0.6058 0.7551
0.2500 0.8942 0.7551
0.2500 0.9307 0.0551
0.7500 0.0693 0.9449
0.7500 0.1058 0.2449
0.7500 0.3942 0.2449
0.7500 0.4307 0.9449
0.7500 0.7500 0.0625
0.7500 0.7500 0.7667
```

Main lines, in order of rising 2θ (2θ from 10° to 90°):
2θ (°), d [Å], I/Imax
11.74, 7.536, 26
13.39, 6.612, 100
17.44, 5.085, 77
23.61, 3.768, 26
26.31, 3.387, 54
29.86, 2.992, 51
30.69, 2.913, 76
32.87, 2.724, 94
38.42, 2.343, 28
44.75, 2.025, 31
46.03, 1.972, 34
50.58, 1.805, 31

No. 3
# Y2ClO2
Simulated X-ray powder pattern, Cu Kα. Input: the GGA-PBE geometry in the Materials Project.
Peak positions follow from Bragg's law for the DFT cell and can differ from measured ones.

Structure:
```
Y2ClO2
1.0
5.0038 0.0000 0.0000
0.0000 5.0038 0.0000
0.0000 0.0000 13.1887
Y Cl O
2 1 2
Direct
0.0000 0.0000 0.2143
0.0000 0.0000 0.7857
0.0000 0.0000 0.0000
0.0000 0.0000 0.3518
0.0000 0.0000 0.6482
```

Main lines, in order of rising 2θ (2θ from 10° to 90°):
2θ (°), d [Å], I/Imax
13.43, 6.594, 26
17.73, 5.004, 100
18.97, 4.678, 8
22.30, 3.986, 32
25.17, 3.538, 42
28.63, 3.118, 17
32.52, 2.754, 11
35.89, 2.502, 16
38.55, 2.335, 24
40.30, 2.238, 22
42.71, 2.117, 24
53.70, 1.707, 15